Entry 1:
The following is a computed XRD peak list of UOsW. It was derived from DFT lattice parameters and positions (PBE), using copper Kα.
Neutral-atom scattering factors, no anomalous dispersion.

Largest 10 diffraction maxima, by intensity, 2θ from 10° to 90°:
| two_theta | I (rel.) |
| --- | --- |
| 40.9 | 100 |
| 74.4 | 36 |
| 24.7 | 24 |
| 28.6 | 20 |
| 59.1 | 17 |
| 48.3 | 12 |
| 88.5 | 12 |
| 67.0 | 8 |
| 50.6 | 6 |
| 65.1 | 5 |

Structural model:
Cell: 6.2481 6.2481 6.2481 Å, 90.00 90.00 90.00°
Fractional coordinates of all 12 atoms:
U 0.0000 0.0000 0.0000
U 0.0000 0.5000 0.5000
U 0.5000 0.0000 0.5000
U 0.5000 0.5000 0.0000
Os 0.0000 0.0000 0.5000
Os 0.0000 0.5000 0.0000
Os 0.5000 0.0000 0.0000
Os 0.5000 0.5000 0.5000
W 0.2500 0.2500 0.2500
W 0.2500 0.7500 0.7500
W 0.7500 0.2500 0.7500
W 0.7500 0.7500 0.2500

=====

Entry 2:
The following is a computed XRD peak list of Gd. It was derived from DFT lattice parameters and positions (PBE), using copper Kα.
Neutral-atom scattering factors, no anomalous dispersion.

Largest 10 diffraction maxima, by intensity, 2θ from 10° to 90°:
| two_theta | I (rel.) |
| --- | --- |
| 30.7 | 100 |
| 35.6 | 51 |
| 51.3 | 36 |
| 60.9 | 32 |
| 83.6 | 13 |
| 61.0 | 11 |
| 63.9 | 9 |
| 86.2 | 8 |
| 86.4 | 8 |
| 75.4 | 6 |

Structural model:
Cell: 3.5671 3.5671 8.7181 Å, 90.00 90.00 120.00°
Fractional coordinates of all 3 atoms:
Gd 0.0000 0.3424 0.1667
Gd 0.3424 0.0000 0.8333
Gd 0.6576 0.6576 0.5000

=====

Entry 3:
The following is a computed XRD peak list of BaSnAu2S4. It was derived from DFT lattice parameters and positions (PBE), using copper Kα.
Neutral-atom scattering factors, no anomalous dispersion.

Largest 10 diffraction maxima, by intensity, 2θ from 10° to 90°:
| two_theta | I (rel.) |
| --- | --- |
| 28.4 | 100 |
| 15.3 | 36 |
| 26.5 | 33 |
| 35.0 | 33 |
| 28.6 | 33 |
| 35.6 | 30 |
| 39.4 | 27 |
| 48.0 | 24 |
| 15.8 | 23 |
| 53.5 | 20 |

Structural model:
Cell: 11.2227 11.2706 6.7237 Å, 90.00 90.00 90.00°
Fractional coordinates of all 32 atoms:
Ba 0.2491 0.2219 0.2493
Ba 0.2509 0.7219 0.7507
Ba 0.7491 0.2781 0.7507
Ba 0.7509 0.7781 0.2493
Sn 0.0000 0.0000 0.7467
Sn 0.0000 0.5000 0.2428
Sn 0.5000 0.0000 0.7572
Sn 0.5000 0.5000 0.2533
Au 0.0952 0.4056 0.7410
Au 0.0976 0.9081 0.2455
Au 0.4024 0.4081 0.7545
Au 0.4048 0.9056 0.2590
Au 0.5952 0.0944 0.2590
Au 0.5976 0.5919 0.7545
Au 0.9024 0.0919 0.2455
Au 0.9048 0.5944 0.7410
S 0.0046 0.3232 0.4577
S 0.0078 0.8243 0.9625
S 0.1786 0.4857 0.0305
S 0.1789 0.9886 0.5360
S 0.3211 0.4886 0.4640
S 0.3214 0.9857 0.9695
S 0.4922 0.3243 0.0375
S 0.4954 0.8232 0.5423
S 0.5046 0.1768 0.5423
S 0.5078 0.6757 0.0375
S 0.6786 0.0143 0.9695
S 0.6789 0.5114 0.4640
S 0.8211 0.0114 0.5360
S 0.8214 0.5143 0.0305
S 0.9922 0.1757 0.9625
S 0.9954 0.6768 0.4577

=====

Entry 4:
The following is a computed XRD peak list of Te2WSeSBr. It was derived from DFT lattice parameters and positions (PBE), using copper Kα.
Neutral-atom scattering factors, no anomalous dispersion.

Largest 10 diffraction maxima, by intensity, 2θ from 10° to 90°:
| two_theta | I (rel.) |
| --- | --- |
| 12.4 | 100 |
| 12.7 | 61 |
| 12.9 | 60 |
| 26.0 | 26 |
| 28.0 | 23 |
| 22.5 | 21 |
| 39.1 | 18 |
| 33.1 | 18 |
| 41.9 | 16 |
| 35.2 | 16 |

Structural model:
Cell: 6.4868 8.1468 8.5528 Å, 113.10 112.26 96.10°
Fractional coordinates of all 12 atoms:
Te 0.1078 0.4104 0.2402
Te 0.1263 0.8289 0.1657
Te 0.8737 0.1711 0.8343
Te 0.8922 0.5896 0.7598
W 0.2288 0.5006 0.0006
W 0.7712 0.4994 0.9994
Se 0.3349 0.2990 0.7250
Se 0.6651 0.7010 0.2750
S 0.4642 0.2736 0.9898
S 0.5358 0.7264 0.0102
Br 0.3325 0.7418 0.6045
Br 0.6675 0.2582 0.3955

=====

Entry 5:
The following is a computed XRD peak list of MgZr2Al2FeIr2. It was derived from DFT lattice parameters and positions (PBE), using copper Kα.
Neutral-atom scattering factors, no anomalous dispersion.

Largest 10 diffraction maxima, by intensity, 2θ from 10° to 90°:
| two_theta | I (rel.) |
| --- | --- |
| 40.0 | 100 |
| 24.2 | 77 |
| 40.3 | 50 |
| 73.0 | 33 |
| 47.5 | 26 |
| 72.5 | 17 |
| 58.2 | 17 |
| 47.1 | 13 |
| 28.2 | 13 |
| 63.7 | 11 |

Structural model:
Cell: 4.4810 4.4810 6.4089 Å, 90.00 90.00 90.00°
Fractional coordinates of all 8 atoms:
Mg 0.0000 0.0000 0.0000
Zr 0.0000 0.5000 0.7381
Zr 0.5000 0.0000 0.2619
Al 0.0000 0.5000 0.2620
Al 0.5000 0.0000 0.7380
Fe 0.5000 0.5000 0.5000
Ir 0.0000 0.0000 0.5000
Ir 0.5000 0.5000 0.0000

=====

Entry 6:
The following is a computed XRD peak list of Rb2Gd4Au4S9. It was derived from DFT lattice parameters and positions (PBE), using copper Kα.
Neutral-atom scattering factors, no anomalous dispersion.

Largest 10 diffraction maxima, by intensity, 2θ from 10° to 90°:
| two_theta | I (rel.) |
| --- | --- |
| 30.9 | 100 |
| 27.0 | 86 |
| 26.1 | 76 |
| 25.1 | 72 |
| 28.3 | 53 |
| 36.4 | 53 |
| 43.8 | 53 |
| 44.2 | 46 |
| 13.0 | 45 |
| 38.3 | 37 |

Structural model:
Cell: 7.4534 7.4534 16.5993 Å, 107.21 107.21 32.18°
Fractional coordinates of all 19 atoms:
Rb 0.0424 0.0424 0.2774
Rb 0.9576 0.9576 0.7226
Gd 0.2442 0.2442 0.1154
Gd 0.3493 0.3493 0.4432
Gd 0.6507 0.6507 0.5568
Gd 0.7558 0.7558 0.8846
Au 0.2390 0.2390 0.7253
Au 0.4500 0.4500 0.0830
Au 0.5500 0.5500 0.9170
Au 0.7610 0.7610 0.2747
S 0.0000 0.0000 0.5000
S 0.1485 0.1485 0.9372
S 0.2873 0.2873 0.5908
S 0.3669 0.3669 0.2825
S 0.3722 0.3722 0.8660
S 0.6278 0.6278 0.1340
S 0.6331 0.6331 0.7175
S 0.7127 0.7127 0.4092
S 0.8514 0.8514 0.0628